[1]
Computed powder X-ray diffraction pattern of Ni3OF5 for Cu Kα (λ = 1.5418 Å), from a structure optimized by DFT (GGA+U).
Peak positions follow from Bragg's law for the DFT cell and can differ from measured ones.

Main lines, in order of rising 2θ (2θ = 5–70°):
2θ (°)  d/Å  I (rel.)
26.57  3.355  87
27.08  3.292  86
34.70  2.585  100
38.30  2.350  17
52.34  1.748  59
52.93  1.730  54
54.71  1.678  17
66.94  1.398  39

Structure:
```
Ni3OF5
1.0
4.519 -3.355 0.000
4.519 3.355 0.000
-2.677 0.000 6.766
Ni O F
6 2 10
Direct
0.000 0.000 0.000
0.001 0.001 0.511
0.337 0.337 0.839
0.342 0.342 0.338
0.667 0.667 0.177
0.674 0.674 0.665
0.569 0.569 0.374
0.903 0.903 0.709
0.034 0.641 0.338
0.105 0.105 0.304
0.234 0.234 0.041
0.304 0.699 0.006
0.367 0.975 0.671
0.440 0.440 0.639
0.641 0.034 0.338
0.699 0.304 0.006
0.766 0.766 0.970
0.975 0.367 0.671
```

***

[2]
Computed powder X-ray diffraction pattern of Ni6OF11 for Cu Kα (λ = 1.5418 Å), from a structure optimized by DFT (GGA+U).
Peak positions follow from Bragg's law for the DFT cell and can differ from measured ones.

Main lines, in order of rising 2θ (2θ = 5–70°):
2θ (°)  d/Å  I (rel.)
26.69  3.340  88
26.96  3.307  87
34.63  2.590  100
38.30  2.350  17
52.43  1.745  59
52.74  1.736  56
59.55  1.552  17
66.90  1.399  40

Structure:
```
Ni6OF11
1.0
9.314 0.000 0.000
0.000 3.340 3.307
0.000 -3.340 3.307
Ni O F
6 1 11
Direct
0.000 0.000 0.000
0.163 0.517 0.517
0.333 0.015 0.015
0.500 0.515 0.515
0.667 0.015 0.015
0.837 0.517 0.517
0.000 0.705 0.705
0.000 0.308 0.308
0.167 0.208 0.815
0.167 0.815 0.208
0.331 0.320 0.320
0.333 0.711 0.711
0.500 0.212 0.820
0.500 0.820 0.212
0.667 0.711 0.711
0.669 0.320 0.320
0.833 0.208 0.815
0.833 0.815 0.208
```

***

[3]
Computed powder X-ray diffraction pattern of Ni6OF11 for Cu Kα (λ = 1.5418 Å), from a structure optimized by DFT (GGA+U).
Peak positions follow from Bragg's law for the DFT cell and can differ from measured ones.

Main lines, in order of rising 2θ (2θ = 5–70°):
2θ (°)  d/Å  I (rel.)
26.68  3.341  88
26.95  3.308  87
34.63  2.591  100
38.29  2.351  17
52.42  1.745  59
52.72  1.736  56
59.56  1.552  17
66.88  1.399  40

Structure:
```
Ni6OF11
1.0
4.537 -3.341 0.000
4.537 3.341 0.000
-2.701 0.000 6.791
Ni O F
6 1 11
Direct
0.000 0.000 0.000
0.001 0.001 0.489
0.335 0.335 0.829
0.337 0.337 0.329
0.669 0.669 0.662
0.676 0.676 0.160
0.903 0.903 0.198
0.032 0.638 0.829
0.100 0.100 0.792
0.235 0.235 0.531
0.306 0.699 0.496
0.368 0.975 0.161
0.442 0.442 0.128
0.567 0.567 0.863
0.638 0.032 0.829
0.699 0.306 0.496
0.770 0.770 0.460
0.975 0.368 0.161
```

***

[4]
Computed powder X-ray diffraction pattern of Ni3OF5 for Cu Kα (λ = 1.5418 Å), from a structure optimized by DFT (GGA+U).
Peak positions follow from Bragg's law for the DFT cell and can differ from measured ones.

Main lines, in order of rising 2θ (2θ = 5–70°):
2θ (°)  d/Å  I (rel.)
26.83  3.323  100
34.70  2.585  57
39.80  2.265  16
52.64  1.739  65
55.30  1.661  19
62.51  1.486  10
66.66  1.403  13
66.96  1.398  23

Structure:
```
Ni3OF5
1.0
5.625 0.000 0.000
0.000 4.701 0.000
-0.515 0.000 7.754
Ni O F
6 2 10
Direct
0.077 0.000 0.331
0.252 0.501 0.992
0.413 0.981 0.668
0.587 0.481 0.332
0.748 0.001 0.008
0.923 0.500 0.669
0.215 0.689 0.766
0.785 0.189 0.234
0.046 0.791 0.101
0.121 0.192 0.565
0.284 0.298 0.227
0.382 0.797 0.429
0.452 0.190 0.898
0.548 0.690 0.102
0.618 0.297 0.571
0.716 0.798 0.773
0.879 0.692 0.435
0.954 0.291 0.899
```

***

[5]
Computed powder X-ray diffraction pattern of Ni3OF5 for Cu Kα (λ = 1.5418 Å), from a structure optimized by DFT (GGA+U).
Peak positions follow from Bragg's law for the DFT cell and can differ from measured ones.

Main lines, in order of rising 2θ (2θ = 5–70°):
2θ (°)  d/Å  I (rel.)
26.57  3.355  87
27.05  3.297  88
34.66  2.588  100
38.27  2.352  17
52.31  1.749  59
52.86  1.732  55
54.71  1.678  17
66.88  1.399  40

Structure:
```
Ni3OF5
1.0
4.566 -3.297 0.000
4.566 3.297 0.000
-2.826 0.000 6.832
Ni O F
6 2 10
Direct
0.000 0.000 0.000
0.000 0.000 0.500
0.332 0.332 0.335
0.341 0.341 0.841
0.659 0.659 0.159
0.668 0.668 0.665
0.300 0.700 0.000
0.700 0.300 0.000
0.027 0.636 0.331
0.101 0.101 0.300
0.234 0.234 0.038
0.364 0.973 0.669
0.436 0.436 0.632
0.564 0.564 0.368
0.636 0.027 0.331
0.766 0.766 0.962
0.899 0.899 0.700
0.973 0.364 0.669
```

***

[6]
Computed powder X-ray diffraction pattern of Ni6OF11 for Cu Kα (λ = 1.5418 Å), from a structure optimized by DFT (GGA+U).
Peak positions follow from Bragg's law for the DFT cell and can differ from measured ones.

Main lines, in order of rising 2θ (2θ = 5–70°):
2θ (°)  d/Å  I (rel.)
26.69  3.341  88
26.96  3.307  87
34.63  2.591  100
38.30  2.350  17
52.42  1.745  59
52.73  1.736  56
59.55  1.552  17
66.89  1.399  40

Structure:
```
Ni6OF11
1.0
4.560 -3.307 0.000
4.560 3.307 0.000
-2.780 0.000 6.823
Ni O F
6 1 11
Direct
0.000 0.000 0.000
0.320 0.345 0.334
0.322 0.353 0.838
0.647 0.678 0.162
0.655 0.680 0.666
0.988 0.012 0.500
0.295 0.705 0.000
0.014 0.649 0.330
0.090 0.111 0.298
0.223 0.243 0.037
0.351 0.986 0.670
0.423 0.448 0.631
0.552 0.577 0.369
0.625 0.041 0.334
0.693 0.307 0.000
0.757 0.777 0.963
0.889 0.910 0.702
0.959 0.375 0.666
```

***

[7]
Computed powder X-ray diffraction pattern of Ni3OF5 for Cu Kα (λ = 1.5418 Å), from a structure optimized by DFT (GGA+U).
Peak positions follow from Bragg's law for the DFT cell and can differ from measured ones.

Main lines, in order of rising 2θ (2θ = 5–70°):
2θ (°)  d/Å  I (rel.)
26.84  3.322  100
34.71  2.585  57
39.81  2.265  16
52.64  1.739  49
52.70  1.737  16
55.31  1.661  19
66.93  1.398  11
67.01  1.397  11

Structure:
```
Ni3OF5
1.0
5.623 0.000 0.000
1.706 5.367 0.000
2.224 1.620 6.791
Ni O F
6 2 10
Direct
0.000 0.000 0.000
0.006 0.997 0.506
0.322 0.321 0.671
0.331 0.325 0.179
0.667 0.660 0.337
0.676 0.645 0.837
0.230 0.225 0.470
0.972 0.351 0.836
0.029 0.633 0.168
0.100 0.094 0.206
0.305 0.689 0.506
0.371 0.952 0.837
0.432 0.419 0.876
0.567 0.556 0.136
0.636 0.022 0.172
0.695 0.297 0.509
0.773 0.763 0.537
0.900 0.888 0.803
```

***

[8]
Computed powder X-ray diffraction pattern of Ni3OF5 for Cu Kα (λ = 1.5418 Å), from a structure optimized by DFT (GGA+U).
Peak positions follow from Bragg's law for the DFT cell and can differ from measured ones.

Main lines, in order of rising 2θ (2θ = 5–70°):
2θ (°)  d/Å  I (rel.)
26.84  3.322  100
34.70  2.585  58
39.80  2.265  16
52.65  1.738  64
55.31  1.661  19
62.53  1.485  11
66.66  1.403  13
66.97  1.397  22

Structure:
```
Ni3OF5
1.0
9.287 0.000 0.000
0.000 4.698 0.000
0.000 0.000 4.697
Ni O F
6 2 10
Direct
0.000 0.235 0.000
0.163 0.752 0.518
0.337 0.248 0.018
0.500 0.765 0.500
0.663 0.248 0.018
0.837 0.752 0.518
0.000 0.940 0.707
0.500 0.060 0.207
0.000 0.543 0.308
0.167 0.051 0.209
0.169 0.441 0.816
0.331 0.559 0.316
0.333 0.949 0.709
0.500 0.457 0.808
0.667 0.949 0.709
0.669 0.559 0.316
0.831 0.441 0.816
0.833 0.051 0.209
```

***

[9]
Computed powder X-ray diffraction pattern of Ni3OF5 for Cu Kα (λ = 1.5418 Å), from a structure optimized by DFT (GGA+U).
Peak positions follow from Bragg's law for the DFT cell and can differ from measured ones.

Main lines, in order of rising 2θ (2θ = 5–70°):
2θ (°)  d/Å  I (rel.)
26.57  3.355  87
27.06  3.295  86
34.72  2.584  100
38.29  2.351  17
52.36  1.747  59
52.91  1.730  54
66.87  1.399  31
66.98  1.397  19

Structure:
```
Ni3OF5
1.0
4.699 0.000 0.000
0.000 3.093 0.000
-0.252 0.000 14.116
Ni O F
6 2 10
Direct
0.000 0.000 0.000
0.009 0.000 0.669
0.488 0.500 0.829
0.500 0.500 0.500
0.512 0.500 0.171
0.991 0.000 0.331
0.301 0.000 0.767
0.699 0.000 0.233
0.194 0.500 0.599
0.199 0.500 0.935
0.200 0.500 0.269
0.301 0.000 0.104
0.304 0.000 0.432
0.696 0.000 0.568
0.699 0.000 0.896
0.800 0.500 0.731
0.801 0.500 0.065
0.806 0.500 0.401
```

***

[10]
Computed powder X-ray diffraction pattern of Ni3OF5 for Cu Kα (λ = 1.5418 Å), from a structure optimized by DFT (GGA+U).
Peak positions follow from Bragg's law for the DFT cell and can differ from measured ones.

Main lines, in order of rising 2θ (2θ = 5–70°):
2θ (°)  d/Å  I (rel.)
26.82  3.324  100
34.70  2.585  58
39.79  2.265  16
52.62  1.739  65
55.27  1.662  19
62.47  1.487  10
66.66  1.403  13
66.92  1.398  23

Structure:
```
Ni3OF5
1.0
6.649 0.000 0.000
0.000 3.095 0.000
-3.320 0.000 9.972
Ni O F
6 2 10
Direct
0.000 0.000 0.000
0.159 0.500 0.318
0.322 0.000 0.654
0.495 0.500 0.988
0.661 0.000 0.324
0.840 0.500 0.660
0.028 0.000 0.657
0.062 0.500 0.124
0.264 0.500 0.521
0.299 0.000 0.988
0.359 0.000 0.323
0.397 0.500 0.787
0.595 0.500 0.191
0.632 0.000 0.657
0.692 0.000 0.991
0.728 0.500 0.454
0.932 0.500 0.863
0.965 0.000 0.326
```

***

[11]
Computed powder X-ray diffraction pattern of Ni3OF5 for Cu Kα (λ = 1.5418 Å), from a structure optimized by DFT (GGA+U).
Peak positions follow from Bragg's law for the DFT cell and can differ from measured ones.

Main lines, in order of rising 2θ (2θ = 5–70°):
2θ (°)  d/Å  I (rel.)
26.55  3.357  87
27.05  3.296  87
34.71  2.585  100
38.27  2.352  17
52.33  1.748  59
52.90  1.731  54
66.86  1.399  31
66.92  1.398  20

Structure:
```
Ni3OF5
1.0
4.705 0.000 0.000
0.087 5.629 0.000
0.086 0.529 7.754
Ni O F
6 2 10
Direct
0.000 0.000 0.000
0.007 0.325 0.667
0.489 0.838 0.670
0.500 0.500 0.000
0.511 0.162 0.330
0.993 0.675 0.333
0.194 0.035 0.770
0.806 0.965 0.230
0.197 0.369 0.430
0.201 0.702 0.102
0.303 0.534 0.768
0.304 0.203 0.101
0.304 0.869 0.434
0.696 0.131 0.566
0.696 0.797 0.899
0.697 0.466 0.232
0.799 0.298 0.898
0.803 0.631 0.570
```

***

Q: What is the formula in the eighth record?
A: Ni3OF5